No. 1
Starting from a crystal structure in the Materials Project, relaxed with PBE, the XRD peak list of CoH3C6N6 was computed for Cu Kα (λ = 1.5418 Å).
Lines closer than 0.1° are merged.

Cell and atoms:
Unit cell a=6.486 b=6.486 c=5.591 alpha=90.00 beta=90.00 gamma=120.00
Fractional coordinates of all 16 atoms:
Co: 0.000 0.000 0.000
H: 0.000 0.500 0.500
H: 0.500 0.000 0.500
H: 0.500 0.500 0.500
C: 0.000 0.235 0.195
C: 0.000 0.765 0.805
C: 0.235 0.000 0.195
C: 0.235 0.235 0.805
C: 0.765 0.000 0.805
C: 0.765 0.765 0.195
N: 0.000 0.377 0.323
N: 0.000 0.623 0.677
N: 0.377 0.000 0.323
N: 0.377 0.377 0.677
N: 0.623 0.000 0.677
N: 0.623 0.623 0.323

The 10 most intense peaks (5° ≤ 2θ ≤ 70°), by angle:
2θ (°)  Rel. int.
15.78  100
22.44  84
31.89  95
35.88  9
42.70  22
45.74  20
48.63  12
54.25  17
61.82  10
68.98  8

=====

No. 2
Starting from a crystal structure in the Materials Project, relaxed with PBE, the XRD peak list of Mg2PO8 was computed for Cu Kα (λ = 1.5418 Å).
Lines closer than 0.1° are merged.

Cell and atoms:
Unit cell a=4.644 b=12.068 c=10.084 alpha=90.00 beta=100.85 gamma=90.00
Fractional coordinates of all 44 atoms:
Mg: 0.022 0.234 0.483
Mg: 0.022 0.266 0.983
Mg: 0.095 0.510 0.183
Mg: 0.095 0.990 0.683
Mg: 0.905 0.010 0.317
Mg: 0.905 0.490 0.817
Mg: 0.978 0.734 0.017
Mg: 0.978 0.766 0.517
P: 0.401 0.186 0.255
P: 0.401 0.314 0.755
P: 0.599 0.686 0.245
P: 0.599 0.814 0.745
O: 0.082 0.649 0.852
O: 0.082 0.851 0.352
O: 0.173 0.064 0.511
O: 0.173 0.436 0.011
O: 0.228 0.075 0.236
O: 0.228 0.425 0.736
O: 0.241 0.228 0.829
O: 0.241 0.272 0.329
O: 0.264 0.613 0.468
O: 0.264 0.887 0.968
O: 0.292 0.663 0.162
O: 0.292 0.837 0.662
O: 0.412 0.229 0.110
O: 0.412 0.271 0.610
O: 0.432 0.026 0.859
O: 0.432 0.474 0.359
O: 0.568 0.526 0.641
O: 0.568 0.974 0.141
O: 0.588 0.729 0.390
O: 0.588 0.771 0.890
O: 0.708 0.163 0.338
O: 0.708 0.337 0.838
O: 0.736 0.113 0.032
O: 0.736 0.387 0.532
O: 0.759 0.728 0.671
O: 0.759 0.772 0.171
O: 0.772 0.575 0.264
O: 0.772 0.925 0.764
O: 0.827 0.564 0.989
O: 0.827 0.936 0.489
O: 0.918 0.149 0.648
O: 0.918 0.351 0.148

The 10 most intense peaks (5° ≤ 2θ ≤ 70°), by angle:
2θ (°)  Rel. int.
14.68  39
17.21  100
17.91  30
20.82  36
21.17  66
32.65  40
33.81  55
35.90  67
48.87  38
49.40  30

=====

No. 3
Starting from a crystal structure in the Materials Project, relaxed with PBE, the XRD peak list of LiCuP2O7 was computed for Cu Kα (λ = 1.5418 Å).
Lines closer than 0.1° are merged.

Cell and atoms:
Unit cell a=4.913 b=13.349 c=9.391 alpha=90.00 beta=118.63 gamma=90.00
Fractional coordinates of all 44 atoms:
Li: 0.030 0.129 0.361
Li: 0.030 0.371 0.861
Li: 0.970 0.629 0.139
Li: 0.970 0.871 0.639
Cu: 0.066 0.151 0.761
Cu: 0.066 0.349 0.261
Cu: 0.934 0.651 0.739
Cu: 0.934 0.849 0.239
P: 0.254 0.669 0.531
P: 0.254 0.831 0.031
P: 0.484 0.526 0.777
P: 0.484 0.974 0.277
P: 0.516 0.026 0.723
P: 0.516 0.474 0.223
P: 0.746 0.169 0.969
P: 0.746 0.331 0.469
O: 0.022 0.678 0.355
O: 0.022 0.822 0.855
O: 0.154 0.716 0.651
O: 0.154 0.784 0.151
O: 0.227 0.542 0.828
O: 0.227 0.958 0.328
O: 0.266 0.111 0.642
O: 0.266 0.389 0.142
O: 0.315 0.551 0.582
O: 0.315 0.949 0.082
O: 0.391 0.578 0.197
O: 0.391 0.922 0.697
O: 0.426 0.215 0.928
O: 0.426 0.285 0.428
O: 0.574 0.715 0.572
O: 0.574 0.785 0.072
O: 0.609 0.078 0.303
O: 0.609 0.422 0.803
O: 0.685 0.051 0.918
O: 0.685 0.449 0.418
O: 0.734 0.611 0.858
O: 0.734 0.889 0.358
O: 0.773 0.042 0.672
O: 0.773 0.458 0.172
O: 0.846 0.216 0.849
O: 0.846 0.284 0.349
O: 0.978 0.178 0.145
O: 0.978 0.322 0.645

The 10 most intense peaks (5° ≤ 2θ ≤ 70°), by angle:
2θ (°)  Rel. int.
17.09  100
21.56  29
22.56  22
22.71  22
24.58  25
25.38  23
30.70  20
32.00  24
33.97  15
36.64  17

=====

No. 4
Starting from a crystal structure in the Materials Project, relaxed with PBE, the XRD peak list of BaNaB9O15 was computed for Cu Kα (λ = 1.5418 Å).
Lines closer than 0.1° are merged.

Cell and atoms:
Unit cell a=8.776 b=8.776 c=8.776 alpha=80.18 beta=80.18 gamma=80.18
Fractional coordinates of all 52 atoms:
Ba: 0.000 0.000 0.000
Ba: 0.500 0.500 0.500
Na: 0.273 0.273 0.273
Na: 0.773 0.773 0.773
B: 0.055 0.559 0.702
B: 0.059 0.555 0.202
B: 0.155 0.278 0.712
B: 0.202 0.059 0.555
B: 0.212 0.778 0.655
B: 0.222 0.877 0.371
B: 0.278 0.712 0.155
B: 0.371 0.222 0.877
B: 0.377 0.722 0.871
B: 0.555 0.202 0.059
B: 0.559 0.702 0.055
B: 0.655 0.212 0.778
B: 0.702 0.055 0.559
B: 0.712 0.155 0.278
B: 0.722 0.871 0.377
B: 0.778 0.655 0.212
B: 0.871 0.377 0.722
B: 0.877 0.371 0.222
O: 0.030 0.401 0.209
O: 0.069 0.707 0.721
O: 0.177 0.944 0.678
O: 0.178 0.444 0.677
O: 0.205 0.854 0.225
O: 0.207 0.569 0.221
O: 0.209 0.030 0.401
O: 0.221 0.207 0.569
O: 0.225 0.205 0.854
O: 0.252 0.756 0.488
O: 0.256 0.752 0.988
O: 0.354 0.705 0.725
O: 0.401 0.209 0.030
O: 0.444 0.677 0.178
O: 0.488 0.252 0.756
O: 0.530 0.709 0.901
O: 0.569 0.221 0.207
O: 0.677 0.178 0.444
O: 0.678 0.177 0.944
O: 0.705 0.725 0.354
O: 0.707 0.721 0.069
O: 0.709 0.901 0.530
O: 0.721 0.069 0.707
O: 0.725 0.354 0.705
O: 0.752 0.988 0.256
O: 0.756 0.488 0.252
O: 0.854 0.225 0.205
O: 0.901 0.530 0.709
O: 0.944 0.678 0.177
O: 0.988 0.256 0.752

The 10 most intense peaks (5° ≤ 2θ ≤ 70°), by angle:
2θ (°)  Rel. int.
13.53  100
15.68  33
21.83  38
22.15  60
26.13  93
27.29  54
31.61  68
34.44  20
38.98  29
42.29  63

=====

No. 5
Starting from a crystal structure in the Materials Project, relaxed with PBE, the XRD peak list of NbSe2 was computed for Cu Kα (λ = 1.5418 Å).
Lines closer than 0.1° are merged.

Cell and atoms:
Unit cell a=26.450 b=3.486 c=3.486 alpha=60.06 beta=90.00 gamma=90.00
Fractional coordinates of all 12 atoms:
Nb: 0.000 0.000 0.000
Nb: 0.240 0.333 0.333
Nb: 0.500 0.557 0.557
Nb: 0.760 0.333 0.333
Se: 0.064 0.667 0.667
Se: 0.177 0.999 0.999
Se: 0.304 0.667 0.667
Se: 0.436 0.224 0.224
Se: 0.564 0.224 0.224
Se: 0.696 0.667 0.667
Se: 0.823 0.999 0.999
Se: 0.936 0.667 0.667

The 10 most intense peaks (5° ≤ 2θ ≤ 70°), by angle:
2θ (°)  Rel. int.
13.39  97
29.77  36
31.30  28
34.18  100
36.05  75
40.46  32
42.94  34
45.59  24
48.38  30
52.47  43

=====

No. 6
Starting from a crystal structure in the Materials Project, relaxed with PBE, the XRD peak list of IrN was computed for Cu Kα (λ = 1.5418 Å).
Lines closer than 0.1° are merged.

Cell and atoms:
Unit cell a=2.810 b=2.810 c=3.173 alpha=90.00 beta=90.00 gamma=120.00
Fractional coordinates of all 2 atoms:
Ir: 0.000 0.000 0.000
N: 0.667 0.333 0.500

The 5 most intense peaks (5° ≤ 2θ ≤ 70°), by angle:
2θ (°)  Rel. int.
28.12  53
36.94  86
47.06  100
58.14  9
66.55  19